Record 1
The following is a simulated PXRD pattern of TiCuNi. It was derived from a DFT-relaxed cell (PBE, the Materials Project), using Cu Kα (weighted mean of Kα1 and Kα2).

Largest 6 diffraction maxima, sorted by position, 2θ = 10–90°:
d [Å], 2θ/deg, intensity
2.219, 40.7, 681
2.018, 44.9, 1000
1.569, 58.9, 210
1.239, 77.0, 354
1.133, 85.7, 130
1.109, 88.0, 62

```
TiCuNi
1.0
-1.569 1.569 3.954
1.569 -1.569 3.954
1.569 1.569 -3.954
Ti Cu Ni
1 1 1
Direct
0.000 0.000 0.000
0.674 0.674 0.000
0.344 0.344 0.000
```

Record 2
The following is a simulated PXRD pattern of Ti5Cu2S10. It was derived from a DFT-relaxed cell (PBE, the Materials Project), using Cu Kα (weighted mean of Kα1 and Kα2).

Largest 6 diffraction maxima, sorted by position, 2θ = 10–90°:
d [Å], 2θ/deg, intensity
5.470, 16.2, 279
2.949, 30.3, 353
2.638, 34.0, 1000
2.086, 43.4, 809
2.083, 43.4, 567
1.704, 53.8, 458

```
Ti5Cu2S10
1.0
5.890 0.000 0.000
-0.023 6.813 0.000
-2.934 -2.533 7.373
Ti Cu S
5 2 10
Direct
0.000 0.000 0.000
0.201 0.399 0.403
0.396 0.800 0.800
0.604 0.200 0.200
0.799 0.601 0.597
0.105 0.708 0.209
0.895 0.292 0.791
0.017 0.948 0.700
0.183 0.452 0.700
0.220 0.349 0.102
0.383 0.854 0.099
0.419 0.748 0.503
0.581 0.252 0.497
0.617 0.146 0.901
0.780 0.651 0.898
0.817 0.548 0.300
0.983 0.052 0.300
```

Record 3
The following is a simulated PXRD pattern of Re3Ni. It was derived from a DFT-relaxed cell (PBE, the Materials Project), using Cu Kα (weighted mean of Kα1 and Kα2).

Largest 6 diffraction maxima, sorted by position, 2θ = 10–90°:
d [Å], 2θ/deg, intensity
2.350, 38.3, 241
2.190, 41.2, 262
2.071, 43.7, 1000
1.357, 69.2, 170
1.240, 76.9, 191
1.153, 83.9, 206

```
Re3Ni
1.0
5.427 0.000 0.000
-2.714 4.700 0.000
0.000 0.000 4.380
Re Ni
6 2
Direct
0.167 0.333 0.250
0.167 0.833 0.250
0.333 0.167 0.750
0.667 0.833 0.250
0.833 0.167 0.750
0.833 0.667 0.750
0.333 0.667 0.750
0.667 0.333 0.250
```

Record 4
The following is a simulated PXRD pattern of CsTi3AlO8. It was derived from a DFT-relaxed cell (PBE, the Materials Project), using Cu Kα (weighted mean of Kα1 and Kα2).

Largest 6 diffraction maxima, sorted by position, 2θ = 10–90°:
d [Å], 2θ/deg, intensity
3.616, 24.6, 319
3.232, 27.6, 1000
2.913, 30.7, 240
2.529, 35.5, 318
2.272, 39.7, 215
2.265, 39.8, 221

```
CsTi3AlO8
1.0
3.039 0.000 0.000
1.508 7.219 0.000
1.490 0.016 7.238
Cs Ti Al O
1 3 1 8
Direct
0.000 0.000 0.000
0.247 0.819 0.510
0.583 0.201 0.486
0.753 0.498 0.836
0.094 0.516 0.190
0.242 0.058 0.367
0.279 0.636 0.713
0.288 0.370 0.959
0.607 0.635 0.060
0.608 0.382 0.299
0.666 0.949 0.633
0.916 0.704 0.372
0.984 0.298 0.634
```

Record 5
The following is a simulated PXRD pattern of Na2LuC2O6F. It was derived from a DFT-relaxed cell (PBE, the Materials Project), using Cu Kα (weighted mean of Kα1 and Kα2).

Largest 6 diffraction maxima, sorted by position, 2θ = 10–90°:
d [Å], 2θ/deg, intensity
8.719, 10.1, 1000
5.749, 15.4, 401
5.077, 17.5, 738
4.883, 18.2, 313
4.597, 19.3, 389
3.879, 22.9, 358

```
Na2LuC2O6F
1.0
8.739 -3.045 0.000
8.739 3.045 0.000
-0.746 0.000 11.273
Na Lu C O F
8 4 8 24 4
Direct
0.017 0.206 0.382
0.148 0.333 0.141
0.206 0.017 0.882
0.333 0.148 0.641
0.667 0.852 0.359
0.794 0.983 0.118
0.852 0.667 0.859
0.983 0.794 0.618
0.285 0.594 0.370
0.406 0.715 0.130
0.594 0.285 0.870
0.715 0.406 0.630
0.140 0.735 0.884
0.213 0.374 0.419
0.265 0.860 0.616
0.374 0.213 0.919
0.626 0.787 0.081
0.735 0.140 0.384
0.787 0.626 0.581
0.860 0.265 0.116
0.072 0.079 0.086
0.079 0.072 0.586
0.115 0.497 0.323
0.198 0.595 0.800
0.208 0.255 0.933
0.255 0.208 0.433
0.274 0.428 0.501
0.312 0.675 0.937
0.325 0.688 0.563
0.405 0.802 0.700
0.428 0.274 0.001
0.497 0.115 0.823
0.503 0.885 0.177
0.572 0.726 0.999
0.595 0.198 0.300
0.675 0.312 0.437
0.688 0.325 0.063
0.726 0.572 0.499
0.745 0.792 0.567
0.792 0.745 0.067
0.802 0.405 0.200
0.885 0.503 0.677
0.921 0.928 0.414
0.928 0.921 0.914
0.205 0.679 0.181
0.321 0.795 0.319
0.679 0.205 0.681
0.795 0.321 0.819
```

Record 6
The following is a simulated PXRD pattern of Dy2Ti2O7. It was derived from a DFT-relaxed cell (PBE, the Materials Project), using Cu Kα (weighted mean of Kα1 and Kα2).

Largest 6 diffraction maxima, sorted by position, 2θ = 10–90°:
d [Å], 2θ/deg, intensity
4.141, 21.5, 558
3.062, 29.2, 383
2.907, 30.8, 1000
2.656, 33.7, 589
1.886, 48.3, 504
1.542, 60.0, 361

```
Dy2Ti2O7
1.0
7.546 0.000 0.000
0.000 5.352 0.000
-1.912 0.000 13.073
Dy Ti O
8 8 28
Direct
0.142 0.000 0.063
0.233 0.413 0.423
0.286 0.887 0.634
0.354 0.419 0.884
0.646 0.919 0.116
0.714 0.387 0.366
0.767 0.913 0.577
0.858 0.500 0.937
0.031 0.409 0.621
0.070 0.924 0.821
0.410 0.434 0.172
0.470 0.907 0.375
0.530 0.407 0.625
0.590 0.934 0.828
0.930 0.424 0.179
0.969 0.909 0.379
0.011 0.073 0.679
0.061 0.680 0.525
0.073 0.202 0.908
0.130 0.592 0.733
0.139 0.706 0.931
0.173 0.311 0.187
0.221 0.989 0.382
0.272 0.291 0.589
0.327 0.019 0.806
0.365 0.735 0.116
0.412 0.227 0.054
0.424 0.572 0.322
0.453 0.678 0.526
0.484 0.592 0.735
0.516 0.092 0.265
0.547 0.178 0.474
0.576 0.072 0.678
0.588 0.727 0.946
0.635 0.235 0.884
0.673 0.519 0.194
0.728 0.791 0.411
0.779 0.489 0.618
0.827 0.811 0.813
0.861 0.206 0.069
0.870 0.092 0.267
0.927 0.702 0.092
0.939 0.180 0.475
0.989 0.573 0.321
```

Record 7
The following is a simulated PXRD pattern of YMg2Mo3S8. It was derived from a DFT-relaxed cell (PBE, the Materials Project), using Cu Kα (weighted mean of Kα1 and Kα2).

Largest 6 diffraction maxima, sorted by position, 2θ = 10–90°:
d [Å], 2θ/deg, intensity
6.182, 14.3, 635
6.093, 14.5, 377
3.220, 27.7, 479
2.667, 33.6, 1000
1.896, 48.0, 482
1.876, 48.5, 422

```
YMg2Mo3S8
1.0
3.793 2.190 6.093
-3.793 2.190 6.093
0.000 -4.380 6.093
Y Mg Mo S
1 2 3 8
Direct
0.000 0.000 0.000
0.376 0.376 0.376
0.624 0.624 0.624
0.000 0.000 0.500
0.000 0.500 0.000
0.500 0.000 0.000
0.226 0.747 0.747
0.238 0.238 0.238
0.253 0.253 0.774
0.253 0.774 0.253
0.747 0.226 0.747
0.747 0.747 0.226
0.762 0.762 0.762
0.774 0.253 0.253
```

Record 8
The following is a simulated PXRD pattern of Dy5In4Pd2. It was derived from a DFT-relaxed cell (PBE, the Materials Project), using Cu Kα (weighted mean of Kα1 and Kα2).

Largest 6 diffraction maxima, sorted by position, 2θ = 10–90°:
d [Å], 2θ/deg, intensity
2.851, 31.4, 249
2.685, 33.4, 812
2.599, 34.5, 1000
2.488, 36.1, 273
2.477, 36.3, 290
2.459, 36.5, 285

```
Dy5In4Pd2
1.0
8.129 0.000 0.000
0.000 18.298 0.000
0.000 0.000 3.637
Dy In Pd
10 8 4
Direct
0.000 0.000 0.000
0.114 0.418 0.000
0.243 0.220 0.000
0.257 0.720 0.000
0.386 0.918 0.000
0.500 0.500 0.000
0.614 0.082 0.000
0.743 0.280 0.000
0.757 0.780 0.000
0.886 0.582 0.000
0.078 0.851 0.500
0.212 0.569 0.500
0.288 0.069 0.500
0.422 0.351 0.500
0.578 0.649 0.500
0.712 0.931 0.500
0.788 0.431 0.500
0.922 0.149 0.500
0.027 0.304 0.500
0.473 0.804 0.500
0.527 0.196 0.500
0.973 0.696 0.500
```

Record 9
The following is a simulated PXRD pattern of Mg14MnCr. It was derived from a DFT-relaxed cell (PBE, the Materials Project), using Cu Kα (weighted mean of Kα1 and Kα2).

Largest 6 diffraction maxima, sorted by position, 2θ = 10–90°:
d [Å], 2θ/deg, intensity
2.724, 32.9, 166
2.516, 35.7, 254
2.394, 37.6, 1000
1.848, 49.3, 152
1.428, 65.3, 173
1.332, 70.7, 120

```
Mg14MnCr
1.0
10.065 0.000 0.000
0.000 3.149 5.431
0.000 -3.149 5.431
Mg Mn Cr
14 1 1
Direct
0.000 0.000 0.000
0.000 0.001 0.501
0.000 0.500 0.500
0.000 0.501 0.001
0.253 0.165 0.165
0.253 0.665 0.665
0.260 0.171 0.670
0.260 0.670 0.171
0.500 0.002 0.501
0.500 0.501 0.002
0.740 0.171 0.670
0.740 0.670 0.171
0.747 0.165 0.165
0.747 0.665 0.665
0.500 0.500 0.500
0.500 0.998 0.998
```